The following is a theoretical powder X-ray diffraction pattern of NaEuSbWO6. It was derived from a structure optimized by DFT (GGA+U), using Cu Kα (weighted mean of Kα1 and Kα2).

Structure:
```
NaEuSbWO6
1.0
0.0000 4.1894 4.1894
4.1894 0.0000 4.1894
4.1894 4.1894 0.0000
Na Eu Sb W O
1 1 1 1 6
direct
0.0000 0.0000 0.0000
0.5000 0.5000 0.5000
0.2500 0.2500 0.2500
0.7500 0.7500 0.7500
0.5173 0.5173 0.9827
0.5173 0.9827 0.5173
0.5173 0.9827 0.9827
0.9827 0.5173 0.5173
0.9827 0.5173 0.9827
0.9827 0.9827 0.5173
```

Principal peaks in the range 2θ = 10–90°, most intense first:
30.17 deg, I 100
53.58 deg, I 40
43.19 deg, I 31
18.34 deg, I 23
87.03 deg, I 22
62.73 deg, I 19
71.17 deg, I 18
21.21 deg, I 16
35.54 deg, I 13
48.59 deg, I 6